(1)
Structure and simulated XRD peak list of Cs2MnSe2 (DFT lattice parameters and positions (GGA-PBE); Cu Kα).
Peak positions follow from Bragg's law for the DFT cell and can differ from measured ones.

Cell and atoms:
```
data_Cs2MnSe2
_symmetry_space_group_name_H-M 'I b a m'
_symmetry_Int_Tables_number 72
_symmetry_space_group_name_Hall '-I 2 2c'
_cell_length_a 7.639
_cell_length_b 14.469
_cell_length_c 6.841
_cell_angle_alpha 90.00
_cell_angle_beta 90.00
_cell_angle_gamma 90.00
loop_
_atom_site_label
_atom_site_fract_x
_atom_site_fract_y
_atom_site_fract_z
Cs1 0.164 0.147 0.000
Mn1 0.000 0.500 0.250
Se1 0.177 0.404 0.000
```

Peak list (10 most intense, 2θ from 15° to 90°, in order of falling intensity)
| (hkl) | two_theta | intensity |
| --- | --- | --- |
| 2 1 1 | 27.45 | 100 |
| 0 0 2 | 26.05 | 58 |
| 0 4 2 | 36.14 | 57 |
| 1 4 1 | 30.30 | 54 |
| 2 3 1 | 32.64 | 41 |
| 0 4 0 | 24.61 | 40 |
| 1 3 0 | 21.79 | 37 |
| 2 0 2 | 35.22 | 30 |
| 1 8 1 | 53.78 | 27 |
| 2 4 0 | 34.14 | 25 |

(2)
Structure and simulated XRD peak list of CsYMnSe3 (DFT lattice parameters and positions (GGA-PBE); Cu Kα).
Peak positions follow from Bragg's law for the DFT cell and can differ from measured ones.

Cell and atoms:
```
data_CsYMnSe3
_symmetry_space_group_name_H-M 'C m c m'
_symmetry_Int_Tables_number 63
_symmetry_space_group_name_Hall '-C 2c 2'
_cell_length_a 4.256
_cell_length_b 16.150
_cell_length_c 11.099
_cell_angle_alpha 90.00
_cell_angle_beta 90.00
_cell_angle_gamma 90.00
loop_
_atom_site_label
_atom_site_fract_x
_atom_site_fract_y
_atom_site_fract_z
Cs1 0.000 0.243 0.250
Y1 0.000 0.500 0.000
Mn1 0.000 0.037 0.750
Se1 0.000 0.116 0.558
Se2 0.000 0.445 0.750
```

Peak list (10 most intense, 2θ from 15° to 90°, in order of falling intensity)
| (hkl) | two_theta | intensity |
| --- | --- | --- |
| 1 3 1 | 27.91 | 100 |
| 1 3 5 | 49.29 | 38 |
| 1 5 2 | 38.57 | 35 |
| 0 0 4 | 32.26 | 31 |
| 1 7 3 | 51.38 | 30 |
| 1 1 3 | 32.54 | 29 |
| 1 3 0 | 26.70 | 28 |
| 0 4 2 | 27.32 | 28 |
| 2 0 0 | 42.48 | 27 |
| 0 2 3 | 26.50 | 23 |

(3)
Structure and simulated XRD peak list of Cs2MnSnTe4 (DFT lattice parameters and positions (GGA-PBE); Cu Kα).
Peak positions follow from Bragg's law for the DFT cell and can differ from measured ones.

Cell and atoms:
```
data_Cs2MnSnTe4
_symmetry_space_group_name_H-M 'F d d d'
_symmetry_Int_Tables_number 70
_cell_length_a 6.809
_cell_length_b 15.691
_cell_length_c 26.269
_cell_angle_alpha 90.00
_cell_angle_beta 90.00
_cell_angle_gamma 90.00
loop_
_symmetry_equiv_pos_as_xyz
'x,y,z'
'-x,-y,-z'
'-x+1/4,-y+1/4,z'
'x+1/4,y+1/4,-z'
'x,-y+1/4,-z+1/4'
'-x,y+1/4,z+1/4'
'-x+1/4,y,-z+1/4'
'x+1/4,-y,z+1/4'
'x,y+1/2,z+1/2'
'-x,-y+1/2,-z+1/2'
'-x+1/4,-y+3/4,z+1/2'
'x+1/4,y+3/4,-z+1/2'
'x,-y+3/4,-z+3/4'
'-x,y+3/4,z+3/4'
'-x+1/4,y+1/2,-z+3/4'
'x+1/4,-y+1/2,z+3/4'
'x+1/2,y,z+1/2'
'-x+1/2,-y,-z+1/2'
'-x+3/4,-y+1/4,z+1/2'
'x+3/4,y+1/4,-z+1/2'
'x+1/2,-y+1/4,-z+3/4'
'-x+1/2,y+1/4,z+3/4'
'-x+3/4,y,-z+3/4'
'x+3/4,-y,z+3/4'
'x+1/2,y+1/2,z'
'-x+1/2,-y+1/2,-z'
'-x+3/4,-y+3/4,z'
'x+3/4,y+3/4,-z'
'x+1/2,-y+3/4,-z+1/4'
'-x+1/2,y+3/4,z+1/4'
'-x+3/4,y+1/2,-z+1/4'
'x+3/4,-y+1/2,z+1/4'
loop_
_atom_site_label
_atom_site_fract_x
_atom_site_fract_y
_atom_site_fract_z
Cs1 0.125 0.125 0.309
Mn1 0.125 0.125 0.625
Sn1 0.125 0.125 0.125
Te1 0.123 0.277 0.815
```

Peak list (10 most intense, 2θ from 15° to 90°, in order of falling intensity)
| (hkl) | two_theta | intensity |
| --- | --- | --- |
| 1 3 5 | 27.40 | 100 |
| 1 3 3 | 23.74 | 97 |
| 2 6 0 | 43.68 | 64 |
| 2 0 6 | 33.34 | 52 |
| 1 3 1 | 21.69 | 38 |
| 2 0 10 | 43.53 | 32 |
| 0 0 8 | 27.16 | 30 |
| 0 6 6 | 40.17 | 27 |
| 2 0 2 | 27.06 | 24 |
| 3 3 5 | 46.94 | 23 |

(4)
Structure and simulated XRD peak list of Cs2Mn3Te4 (DFT lattice parameters and positions (GGA-PBE); Cu Kα).
Peak positions follow from Bragg's law for the DFT cell and can differ from measured ones.

Cell and atoms:
```
data_Cs2Mn3Te4
_symmetry_space_group_name_H-M 'I b a m'
_symmetry_Int_Tables_number 72
_symmetry_space_group_name_Hall '-I 2 2c'
_cell_length_a 6.665
_cell_length_b 13.097
_cell_length_c 15.600
_cell_angle_alpha 90.00
_cell_angle_beta 90.00
_cell_angle_gamma 90.00
loop_
_atom_site_label
_atom_site_fract_x
_atom_site_fract_y
_atom_site_fract_z
Cs1 0.236 0.123 0.000
Mn1 0.000 0.236 0.250
Mn2 0.000 0.500 0.250
Te1 0.228 0.369 0.150
```

Peak list (10 most intense, 2θ from 15° to 90°, in order of falling intensity)
| (hkl) | two_theta | intensity |
| --- | --- | --- |
| 1 2 3 | 25.64 | 100 |
| 2 4 0 | 38.55 | 25 |
| 3 2 3 | 46.57 | 20 |
| 1 6 3 | 47.17 | 18 |
| 2 0 6 | 44.18 | 14 |
| 0 4 0 | 27.24 | 14 |
| 0 4 6 | 44.50 | 14 |
| 2 0 0 | 26.75 | 14 |
| 0 0 6 | 34.54 | 11 |
| 3 6 3 | 62.24 | 7 |

(5)
Structure and simulated XRD peak list of CsMnTe2 (DFT lattice parameters and positions (GGA-PBE); Cu Kα).
Peak positions follow from Bragg's law for the DFT cell and can differ from measured ones.

Cell and atoms:
```
data_CsMnTe2
_symmetry_space_group_name_H-M 'I -4 m 2'
_symmetry_Int_Tables_number 119
_symmetry_space_group_name_Hall 'I -4 -2'
_cell_length_a 4.503
_cell_length_b 4.503
_cell_length_c 15.049
_cell_angle_alpha 90.00
_cell_angle_beta 90.00
_cell_angle_gamma 90.00
loop_
_atom_site_label
_atom_site_fract_x
_atom_site_fract_y
_atom_site_fract_z
Cs1 0.000 0.000 0.000
Mn1 0.000 0.500 0.750
Te1 0.000 0.000 0.342
```

Peak list (10 most intense, 2θ from 15° to 90°, in order of falling intensity)
| (hkl) | two_theta | intensity |
| --- | --- | --- |
| 1 0 3 | 26.60 | 100 |
| 2 1 3 | 48.72 | 37 |
| 1 1 0 | 28.02 | 31 |
| 1 1 6 | 46.07 | 27 |
| 2 0 0 | 40.04 | 22 |
| 3 1 6 | 77.00 | 12 |
| 2 0 6 | 54.80 | 10 |
| 0 0 6 | 35.82 | 10 |
| 2 1 9 | 73.63 | 9 |
| 1 0 9 | 58.92 | 9 |

(6)
Structure and simulated XRD peak list of Cs2MnTe2 (DFT lattice parameters and positions (GGA-PBE); Cu Kα).
Peak positions follow from Bragg's law for the DFT cell and can differ from measured ones.

Cell and atoms:
```
data_Cs2MnTe2
_symmetry_space_group_name_H-M 'I b a m'
_symmetry_Int_Tables_number 72
_symmetry_space_group_name_Hall '-I 2 2c'
_cell_length_a 8.036
_cell_length_b 15.455
_cell_length_c 7.289
_cell_angle_alpha 90.00
_cell_angle_beta 90.00
_cell_angle_gamma 90.00
loop_
_atom_site_label
_atom_site_fract_x
_atom_site_fract_y
_atom_site_fract_z
Cs1 0.173 0.146 0.000
Mn1 0.000 0.500 0.250
Te1 0.178 0.402 0.000
```

Peak list (10 most intense, 2θ from 15° to 90°, in order of falling intensity)
| (hkl) | two_theta | intensity |
| --- | --- | --- |
| 2 1 1 | 25.97 | 100 |
| 0 0 2 | 24.42 | 74 |
| 0 4 2 | 33.81 | 71 |
| 1 4 1 | 28.41 | 65 |
| 2 3 1 | 30.77 | 59 |
| 0 4 0 | 23.02 | 55 |
| 0 0 4 | 50.12 | 52 |
| 2 0 2 | 33.19 | 42 |
| 2 4 0 | 32.14 | 34 |
| 1 4 3 | 45.54 | 31 |

(7)
Structure and simulated XRD peak list of Cs2MoS4 (DFT lattice parameters and positions (GGA-PBE); Cu Kα).
Peak positions follow from Bragg's law for the DFT cell and can differ from measured ones.

Cell and atoms:
```
data_Cs2MoS4
_symmetry_space_group_name_H-M 'P n m a'
_symmetry_Int_Tables_number 62
_cell_length_a 10.326
_cell_length_b 7.396
_cell_length_c 13.145
_cell_angle_alpha 90.00
_cell_angle_beta 90.00
_cell_angle_gamma 90.00
loop_
_symmetry_equiv_pos_as_xyz
'x,y,z'
'-x,-y,-z'
'-x+1/2,-y,z+1/2'
'x+1/2,y,-z+1/2'
'x+1/2,-y+1/2,-z+1/2'
'-x+1/2,y+1/2,z+1/2'
'-x,y+1/2,-z'
'x,-y+1/2,z'
loop_
_atom_site_label
_atom_site_fract_x
_atom_site_fract_y
_atom_site_fract_z
Cs1 0.034 0.250 0.169
Cs2 0.156 0.750 0.399
Mo1 0.247 0.750 0.079
S1 0.036 0.750 0.104
S2 0.167 0.008 0.649
S3 0.209 0.250 0.415
```

Peak list (10 most intense, 2θ from 15° to 90°, in order of falling intensity)
| (hkl) | two_theta | intensity |
| --- | --- | --- |
| 0 2 0 | 24.07 | 100 |
| 2 1 1 | 22.06 | 95 |
| 1 1 2 | 20.01 | 89 |
| 3 0 1 | 26.75 | 83 |
| 0 1 3 | 23.60 | 82 |
| 2 2 3 | 36.27 | 62 |
| 2 2 1 | 30.50 | 57 |
| 0 0 4 | 27.14 | 56 |
| 3 1 1 | 29.40 | 54 |
| 5 2 2 | 52.64 | 49 |

(8)
Structure and simulated XRD peak list of CsMo3S3 (DFT lattice parameters and positions (GGA-PBE); Cu Kα).
Peak positions follow from Bragg's law for the DFT cell and can differ from measured ones.

Cell and atoms:
```
data_CsMo3S3
_symmetry_space_group_name_H-M 'P 63/m'
_symmetry_Int_Tables_number 176
_symmetry_space_group_name_Hall '-P 6c'
_cell_length_a 9.5229
_cell_length_b 9.5229
_cell_length_c 4.4626
_cell_angle_alpha 90.00
_cell_angle_beta 90.00
_cell_angle_gamma 120.00
loop_
_atom_site_label
_atom_site_fract_x
_atom_site_fract_y
_atom_site_fract_z
Cs1 0.3333 0.6667 0.2500
Mo1 0.0223 0.1721 0.2500
S1 0.0436 0.3224 0.7500
```

Peak list (10 most intense, 2θ from 15° to 90°, in order of falling intensity)
| (hkl) | two_theta | intensity |
| --- | --- | --- |
| 2 1 1 | 35.12 | 100 |
| 2 2 1 | 43.06 | 65 |
| 1 1 0 | 18.64 | 65 |
| 2 1 0 | 28.64 | 62 |
| 3 2 1 | 52.54 | 56 |
| 1 0 1 | 22.66 | 48 |
| 1 3 1 | 44.51 | 48 |
| 0 0 2 | 40.42 | 41 |
| 6 0 2 | 82.45 | 32 |
| 3 1 0 | 39.39 | 26 |

(9)
Structure and simulated XRD peak list of CsMo9S9 (DFT lattice parameters and positions (GGA-PBE); Cu Kα).
Peak positions follow from Bragg's law for the DFT cell and can differ from measured ones.

Cell and atoms:
```
data_CsMo9S9
_symmetry_space_group_name_H-M 'P 63/m'
_symmetry_Int_Tables_number 176
_symmetry_space_group_name_Hall '-P 6c'
_cell_length_a 9.4297
_cell_length_b 9.4297
_cell_length_c 13.1252
_cell_angle_alpha 90.00
_cell_angle_beta 90.00
_cell_angle_gamma 120.00
loop_
_atom_site_label
_atom_site_fract_x
_atom_site_fract_y
_atom_site_fract_z
Cs1 0.3333 0.6667 0.2500
Mo1 0.0276 0.8483 0.2500
Mo2 0.0283 0.8476 0.5832
S1 0.0516 0.7233 0.0835
S2 0.0515 0.7231 0.7500
```

Peak list (10 most intense, 2θ from 15° to 90°, in order of falling intensity)
| (hkl) | two_theta | intensity |
| --- | --- | --- |
| 1 2 3 | 35.60 | 100 |
| 2 2 3 | 43.61 | 93 |
| 1 3 3 | 45.07 | 80 |
| 1 2 0 | 28.93 | 59 |
| 2 3 3 | 53.19 | 48 |
| 0 0 6 | 41.27 | 43 |
| 1 0 6 | 42.80 | 41 |
| 1 2 6 | 51.20 | 30 |
| 1 3 0 | 39.80 | 25 |
| 3 5 3 | 86.30 | 22 |

(10)
Structure and simulated XRD peak list of CsMo6Se7 (DFT lattice parameters and positions (GGA-PBE); Cu Kα).
Peak positions follow from Bragg's law for the DFT cell and can differ from measured ones.

Cell and atoms:
```
data_CsMo6Se7
_symmetry_space_group_name_H-M 'R -3'
_symmetry_Int_Tables_number 148
_symmetry_space_group_name_Hall '-R 3'
_cell_length_a 9.8852
_cell_length_b 9.8852
_cell_length_c 24.7612
_cell_angle_alpha 90.00
_cell_angle_beta 90.00
_cell_angle_gamma 120.00
loop_
_atom_site_label
_atom_site_fract_x
_atom_site_fract_y
_atom_site_fract_z
Cs1 0.0000 0.0000 0.1259
Mo1 0.0160 0.8514 0.5449
Mo2 0.0212 0.8560 0.3612
Se1 0.0000 0.0000 0.2794
Se2 0.0097 0.6301 0.2979
Se3 0.0137 0.6341 0.1191
```

Peak list (10 most intense, 2θ from 15° to 90°, in order of falling intensity)
| (hkl) | two_theta | intensity |
| --- | --- | --- |
| 4 -2 6 | 42.64 | 100 |
| 2 3 5 | 49.96 | 41 |
| 1 3 1 | 38.07 | 35 |
| 1 1 6 | 28.17 | 33 |
| 3 0 0 | 31.35 | 33 |
| 1 2 5 | 33.07 | 32 |
| 0 0 12 | 43.88 | 29 |
| 1 0 4 | 17.68 | 26 |
| 3 -1 1 | 27.81 | 26 |
| 4 -1 5 | 42.21 | 25 |